Entry 1:
For ScTeRu2, a PBE-relaxed structure gives the computed X-ray powder pattern in this record (λ = 1.5418 Å (Cu Kα)).
Kinematic intensities with the Lorentz-polarization factor, no thermal factor.

Lattice parameters (Å, degrees): 4.3933 4.3933 3.4647 90.00 90.00 90.00
Atoms (fractional coordinates):
Sc: 0.0000 0.0000 0.0000
Te: 0.5000 0.5000 0.0000
Ru: 0.0000 0.5000 0.5000
Ru: 0.5000 0.0000 0.5000

Largest 12 diffraction maxima, sorted by position, 2θ = 5–70°:
2theta	I_rel
20.2	116
28.7	12
32.9	70
38.9	1000
41.1	428
46.2	28
52.8	101
53.6	37
57.2	15
59.5	140
69.0	176
69.7	9

=====

Entry 2:
For La5RhS4, a PBE-relaxed structure gives the computed X-ray powder pattern in this record (λ = 1.5418 Å (Cu Kα)).
Kinematic intensities with the Lorentz-polarization factor, no thermal factor.

Lattice parameters (Å, degrees): 15.0251 15.0251 15.0251 164.03 164.03 22.66
Atoms (fractional coordinates):
La: 0.0000 0.0000 0.0000
La: 0.2020 0.2020 0.0000
La: 0.4015 0.4015 0.0000
La: 0.5985 0.5985 0.0000
La: 0.7980 0.7980 0.0000
Rh: 0.5000 0.5000 0.0000
S: 0.1016 0.1016 0.0000
S: 0.3019 0.3019 0.0000
S: 0.6981 0.6981 0.0000
S: 0.8984 0.8984 0.0000

Largest 12 diffraction maxima, sorted by position, 2θ = 5–70°:
2theta	I_rel
6.0	72
12.0	24
21.5	22
23.2	17
26.2	436
30.3	1000
43.4	729
51.4	219
53.8	254
63.0	79
63.1	38
69.4	88